No. 1
La6CuSb15: simulated powder X-ray diffraction pattern (Cu Kα (weighted mean of Kα1 and Kα2)), based on DFT lattice parameters and positions (PBE).
Lines closer than 0.1° are merged.

Atomic structure:
```
data_La6CuSb15
_cell_length_a 16.113
_cell_length_b 19.750
_cell_length_c 4.329
_cell_angle_alpha 90.00
_cell_angle_beta 105.38
_cell_angle_gamma 90.00
_symmetry_space_group_name_H-M 'C 1 m 1'
_symmetry_Int_Tables_number 8
_symmetry_space_group_name_Hall 'C -2y'
loop_
_atom_site_label
_atom_site_fract_x
_atom_site_fract_y
_atom_site_fract_z
La1 0.000 0.132 0.000
La2 0.136 0.325 0.135
La3 0.275 0.135 0.274
Cu1 0.373 0.500 0.882
Sb1 0.044 0.500 0.040
Sb2 0.137 0.200 0.636
Sb3 0.143 0.000 0.146
Sb4 0.239 0.500 0.240
Sb5 0.280 0.000 0.779
Sb6 0.281 0.388 0.779
Sb7 0.354 0.297 0.353
Sb8 0.424 0.201 0.921
Sb9 0.479 0.500 0.482
Sb10 0.489 0.103 0.487
```

Most intense lines, 2θ = 15–90°, by intensity:
d (Å)	intensity	(hkl)
2.918	100	1 5 -1
2.651	72	3 3 1
2.643	70	5 3 -1
2.165	41	2 0 -2
3.148	35	4 2 -1
3.615	33	4 2 0
2.586	28	6 0 0
2.084	25	4 8 0

No. 2
MgScZn17: simulated powder X-ray diffraction pattern (Cu Kα (weighted mean of Kα1 and Kα2)), based on DFT lattice parameters and positions (PBE).
Lines closer than 0.1° are merged.

Atomic structure:
```
data_MgScZn17
_cell_length_a 8.8856
_cell_length_b 8.8856
_cell_length_c 13.1572
_cell_angle_alpha 90.00
_cell_angle_beta 90.00
_cell_angle_gamma 120.00
_symmetry_space_group_name_H-M 'R 3 m'
_symmetry_Int_Tables_number 160
_symmetry_space_group_name_Hall 'R 3 -2"'
loop_
_atom_site_label
_atom_site_fract_x
_atom_site_fract_y
_atom_site_fract_z
Mg1 0.0000 0.0000 0.0000
Sc1 0.0000 0.0000 0.3004
Zn1 0.0000 0.0000 0.5348
Zn2 0.0000 0.0000 0.7414
Zn3 0.0029 0.3080 0.6344
Zn4 0.0046 0.5023 0.1315
Zn5 0.0074 0.5037 0.7893
Zn6 0.1718 0.3437 0.8164
```

Most intense lines, 2θ = 15–90°, by intensity:
d (Å)	intensity	(hkl)
1.982	100	2 2 3
2.214	82	0 3 3
2.221	47	2 2 0
2.193	33	0 0 6
1.966	31	1 1 6
4.443	29	1 1 0
2.565	25	3 0 0
1.283	22	6 0 0

No. 3
Pa4CrGa12: simulated powder X-ray diffraction pattern (Cu Kα (weighted mean of Kα1 and Kα2)), based on DFT lattice parameters and positions (PBE).
Lines closer than 0.1° are merged.

Atomic structure:
```
data_Pa4CrGa12
_cell_length_a 8.634
_cell_length_b 8.634
_cell_length_c 8.634
_cell_angle_alpha 90.00
_cell_angle_beta 90.00
_cell_angle_gamma 90.00
_symmetry_space_group_name_H-M 'I m -3 m'
_symmetry_Int_Tables_number 229
_symmetry_space_group_name_Hall '-I 4 2 3'
loop_
_atom_site_label
_atom_site_fract_x
_atom_site_fract_y
_atom_site_fract_z
Pa1 0.250 0.250 0.250
Cr1 0.000 0.000 0.000
Ga1 0.000 0.000 0.292
Ga2 0.000 0.250 0.500
```

Most intense lines, 2θ = 15–90°, by intensity:
d (Å)	intensity	(hkl)
2.492	100	2 2 2
2.158	55	4 0 0
3.053	45	2 2 0
1.526	34	4 4 0
1.302	33	6 2 2
4.317	30	2 0 0
1.931	20	4 2 0
1.762	16	4 2 2